Structure and simulated X-ray powder pattern of MnCr2SbO8 (a crystal structure in Alexandria, relaxed with PBE+U; Cu Kα (λ = 1.5418 Å)).

Cell and atoms:
abc: 4.586 4.586 6.083
angles: 90.00 90.00 90.82
Sites, in units of the cell vectors:
Mn  0.000  0.000  0.000
Cr  0.500  0.500  0.244
Cr  0.500  0.500  0.756
Sb  0.000  0.000  0.500
O  0.193  0.807  0.244
O  0.193  0.807  0.756
O  0.303  0.303  0.000
O  0.309  0.309  0.500
O  0.691  0.691  0.500
O  0.697  0.697  0.000
O  0.807  0.193  0.244
O  0.807  0.193  0.756

Most intense lines, 2θ = 15–90°, in order of rising 2θ:
| d/Å | 2θ (°) | I/Imax |
| --- | --- | --- |
| 3.661 | 24.31 | 20 |
| 3.266 | 27.31 | 81 |
| 3.219 | 27.71 | 78 |
| 2.535 | 35.42 | 100 |
| 2.293 | 39.30 | 23 |
| 1.707 | 53.70 | 49 |
| 1.694 | 54.16 | 48 |
| 1.366 | 68.74 | 31 |